Diffraction record for Ag8GeTe6. The XRD peak list is theoretical, not measured: it uses the GGA-PBE geometry in the Materials Project and Cu Kα (weighted mean of Kα1 and Kα2).
No peak broadening, texture or thermal motion is included.

Principal peaks in the range 5° ≤ 2θ ≤ 70°, by angle:
2θ 12.93, rel. 54, (1 1 0); 2θ 24.85, rel. 95, (1 -1 2); 2θ 25.88, rel. 45, (0 0 4); 2θ 26.07, rel. 100, (2 2 0); 2θ 39.22, rel. 87, (0 3 3); 2θ 39.42, rel. 80, (1 -2 3)

Structural model:
Lattice parameters (Å, degrees): 8.3623 8.3844 14.5777 73.29 73.71 60.40
Fractional coordinates of all 30 atoms:
Ag 0.0000 0.0000 0.0000
Ag 0.0011 0.6881 0.5375
Ag 0.0468 0.5040 0.7305
Ag 0.0919 0.5190 0.3482
Ag 0.1027 0.5035 0.1037
Ag 0.2372 0.9201 0.5830
Ag 0.3808 0.5157 0.5929
Ag 0.4302 0.7786 0.1823
Ag 0.4360 0.1901 0.3860
Ag 0.4420 0.1999 0.0543
Ag 0.4429 0.1604 0.7235
Ag 0.6081 0.0170 0.2252
Ag 0.6204 0.9915 0.8929
Ag 0.6508 0.0227 0.5489
Ag 0.7323 0.4812 0.0800
Ag 0.9653 0.6679 0.8913
Ge 0.0222 0.1147 0.3172
Ge 0.5314 0.5934 0.8121
Te 0.1026 0.1404 0.1254
Te 0.2417 0.2908 0.5656
Te 0.3406 0.9060 0.8749
Te 0.3457 0.3956 0.8680
Te 0.3474 0.8857 0.3719
Te 0.4048 0.4371 0.1903
Te 0.6029 0.6463 0.6226
Te 0.7720 0.8217 0.0680
Te 0.8127 0.4128 0.3842
Te 0.8321 0.3818 0.8926
Te 0.8507 0.9021 0.3641
Te 0.8969 0.9154 0.6887

---

Diffraction record for KBiP2S7. The XRD peak list is theoretical, not measured: it uses the GGA-PBE geometry in the Materials Project and Cu Kα (weighted mean of Kα1 and Kα2).
No peak broadening, texture or thermal motion is included.

Principal peaks in the range 5° ≤ 2θ ≤ 70°, by angle:
2θ 9.04, rel. 58, (1 0 0); 2θ 11.41, rel. 100, (1 1 0); 2θ 16.90, rel. 65, (0 2 1); 2θ 19.18, rel. 45, (1 2 -1); 2θ 24.82, rel. 37, (1 3 1); 2θ 24.95, rel. 47, (2 2 1)

Structural model:
Lattice parameters (Å, degrees): 9.7773 12.7441 9.2382 90.00 90.42 90.00
Fractional coordinates of all 44 atoms:
K 0.1118 0.1884 0.1260
K 0.1118 0.3116 0.6260
K 0.8882 0.6884 0.3740
K 0.8882 0.8116 0.8740
Bi 0.3483 0.6370 0.6264
Bi 0.3483 0.8630 0.1264
Bi 0.6517 0.1370 0.8736
Bi 0.6517 0.3630 0.3736
P 0.2278 0.6087 0.9831
P 0.2278 0.8913 0.4831
P 0.3208 0.0342 0.8020
P 0.3208 0.4658 0.3020
P 0.6792 0.5342 0.6980
P 0.6792 0.9658 0.1980
P 0.7722 0.1087 0.5169
P 0.7722 0.3913 0.0169
S 0.1238 0.7109 0.1096
S 0.1238 0.7891 0.6096
S 0.1336 0.5577 0.7974
S 0.1336 0.9423 0.2974
S 0.1740 0.5314 0.4302
S 0.1740 0.9686 0.9302
S 0.2488 0.0425 0.5828
S 0.2488 0.4575 0.0828
S 0.3446 0.1888 0.8447
S 0.3446 0.3112 0.3447
S 0.4100 0.6753 0.9306
S 0.4100 0.8247 0.4306
S 0.4973 0.5504 0.3156
S 0.4973 0.9496 0.8156
S 0.5027 0.0504 0.1844
S 0.5027 0.4496 0.6844
S 0.5900 0.1753 0.5694
S 0.5900 0.3247 0.0694
S 0.6554 0.6888 0.6553
S 0.6554 0.8112 0.1553
S 0.7512 0.5425 0.9172
S 0.7512 0.9575 0.4172
S 0.8260 0.0314 0.0698
S 0.8260 0.4686 0.5698
S 0.8664 0.0577 0.7026
S 0.8664 0.4423 0.2026
S 0.8762 0.2109 0.3904
S 0.8762 0.2891 0.8904